Structure and calculated powder X-ray diffraction pattern of Rb2AgIF6 (the PBE geometry in Alexandria; a wavelength of 1.5418 Å).

Principal peaks in the range 2θ from 10° to 90°, in order of falling intensity:
Position (°2θ), Rel. int.
26.60, 100
25.98, 54
46.21, 41
37.07, 38
54.79, 22
47.34, 20

Crystal structure
```
Rb2AgIF6
1.0
-3.4295 3.4295 4.6351
3.4295 -3.4295 4.6351
3.4295 3.4295 -4.6351
Rb Ag I F
2 1 1 6
Direct
0.2500 0.7500 0.5000
0.7500 0.2500 0.5000
0.0000 0.0000 0.0000
0.5000 0.5000 0.0000
0.2128 0.2128 0.4256
0.2128 0.7872 0.0000
0.2756 0.2756 0.0000
0.7244 0.7244 0.0000
0.7872 0.2128 0.0000
0.7872 0.7872 0.5744
```

=====

Structure and calculated powder X-ray diffraction pattern of AgSb3IF24 (the PBE geometry in Alexandria; a wavelength of 1.5418 Å).

Principal peaks in the range 2θ from 10° to 90°, in order of falling intensity:
Position (°2θ), Rel. int.
21.15, 100
21.66, 90
21.93, 88
18.12, 67
38.59, 44
50.38, 35

Crystal structure
```
AgSb3IF24
1.0
5.2723 -9.0403 0.0000
5.2723 9.0403 0.0000
-0.5312 0.0000 9.7893
Ag Sb I F
2 6 2 48
Direct
0.0000 0.0000 0.0000
0.0000 0.0000 0.5000
0.1717 0.8283 0.7500
0.1761 0.3472 0.7454
0.3472 0.1761 0.2454
0.6528 0.8239 0.7546
0.8239 0.6528 0.2546
0.8283 0.1717 0.2500
0.3356 0.6644 0.2500
0.6644 0.3356 0.7500
0.0066 0.6791 0.6465
0.0145 0.3334 0.8426
0.0197 0.1799 0.6244
0.0249 0.8427 0.8646
0.1573 0.9751 0.6354
0.1626 0.4776 0.6228
0.1706 0.1938 0.8553
0.1746 0.6924 0.8721
0.1799 0.0197 0.1244
0.1890 0.5187 0.1414
0.1938 0.1706 0.3553
0.1989 0.6697 0.3579
0.3076 0.8254 0.6279
0.3181 0.3315 0.6393
0.3189 0.4943 0.8684
0.3209 0.9934 0.8535
0.3303 0.8011 0.1421
0.3315 0.3181 0.1393
0.3334 0.0145 0.3426
0.3414 0.5279 0.3578
0.4721 0.6586 0.1422
0.4776 0.1626 0.1228
0.4813 0.8110 0.3586
0.4943 0.3189 0.3684
0.5057 0.6811 0.6316
0.5187 0.1890 0.6414
0.5224 0.8374 0.8772
0.5279 0.3414 0.8578
0.6586 0.4721 0.6422
0.6666 0.9855 0.6574
0.6685 0.6819 0.8607
0.6697 0.1989 0.8579
0.6791 0.0066 0.1465
0.6811 0.5057 0.1316
0.6819 0.6685 0.3607
0.6924 0.1746 0.3721
0.8011 0.3303 0.6421
0.8062 0.8294 0.6447
0.8110 0.4813 0.8586
0.8201 0.9803 0.8756
0.8254 0.3076 0.1279
0.8294 0.8062 0.1447
0.8374 0.5224 0.3772
0.8427 0.0249 0.3646
0.9751 0.1573 0.1354
0.9803 0.8201 0.3756
0.9855 0.6666 0.1574
0.9934 0.3209 0.3535
```

=====

Structure and calculated powder X-ray diffraction pattern of InAg3F7 (the PBE geometry in Alexandria; a wavelength of 1.5418 Å).

Principal peaks in the range 2θ from 10° to 90°, in order of falling intensity:
Position (°2θ), Rel. int.
28.44, 100
27.53, 55
27.64, 42
32.08, 35
46.77, 34
46.91, 33

Crystal structure
```
InAg3F7
1.0
4.0392 -3.8580 0.0000
4.0392 3.8580 0.0000
-4.0170 0.0000 5.3962
In Ag F
1 3 7
Direct
0.0000 0.0000 0.0000
0.2408 0.7284 0.5252
0.4940 0.4940 0.0352
0.7284 0.2408 0.5252
0.0978 0.0978 0.7441
0.1123 0.6493 0.7748
0.2727 0.8724 0.2640
0.3448 0.3448 0.2495
0.6493 0.1123 0.7748
0.6899 0.6899 0.8901
0.8724 0.2727 0.2640
```

=====

Structure and calculated powder X-ray diffraction pattern of InAg2F8 (the PBE geometry in Alexandria; a wavelength of 1.5418 Å).

Principal peaks in the range 2θ from 10° to 90°, in order of falling intensity:
Position (°2θ), Rel. int.
26.00, 100
45.86, 42
53.47, 24
60.40, 18
73.02, 14
33.77, 7

Crystal structure
```
InAg2F8
1.0
6.8580 0.0000 0.0000
-3.4290 5.9392 0.0000
0.0000 0.0000 4.1921
In Ag F
1 2 8
Direct
0.0000 0.0000 0.0000
0.3333 0.6667 0.2444
0.6667 0.3333 0.7556
0.1510 0.8469 0.2589
0.1531 0.3041 0.2589
0.3041 0.1510 0.7411
0.3333 0.6667 0.7458
0.6667 0.3333 0.2542
0.6959 0.8490 0.2589
0.8469 0.6959 0.7411
0.8490 0.1531 0.7411
```

=====

Structure and calculated powder X-ray diffraction pattern of InAg2F6 (the PBE geometry in Alexandria; a wavelength of 1.5418 Å).

Principal peaks in the range 2θ from 10° to 90°, in order of falling intensity:
Position (°2θ), Rel. int.
24.41, 100
30.28, 85
46.78, 72
59.59, 22
34.79, 19
50.02, 18

Crystal structure
```
InAg2F6
1.0
5.1579 0.0000 0.0000
0.0000 5.1579 0.0000
0.0000 0.0000 10.7960
In Ag F
2 4 12
Direct
0.0000 0.0000 0.0000
0.5000 0.5000 0.5000
0.0000 0.0000 0.3350
0.0000 0.0000 0.6650
0.5000 0.5000 0.1650
0.5000 0.5000 0.8350
0.1913 0.1913 0.1510
0.1913 0.1913 0.8490
0.2145 0.2145 0.5000
0.2855 0.7145 0.0000
0.3087 0.6913 0.3490
0.3087 0.6913 0.6510
0.6913 0.3087 0.3490
0.6913 0.3087 0.6510
0.7145 0.2855 0.0000
0.7855 0.7855 0.5000
0.8087 0.8087 0.1510
0.8087 0.8087 0.8490
```

=====

Structure and calculated powder X-ray diffraction pattern of KInAgF6 (the PBE geometry in Alexandria; a wavelength of 1.5418 Å).

Principal peaks in the range 2θ from 10° to 90°, in order of falling intensity:
Position (°2θ), Rel. int.
16.14, 100
23.28, 46
24.17, 44
35.14, 43
23.91, 41
30.75, 39

Crystal structure
```
KInAgF6
1.0
3.0431 -4.9650 0.0000
3.0431 4.9650 0.0000
-0.1706 0.0000 5.4906
K In Ag F
1 1 1 6
Direct
0.0000 0.0000 0.0000
0.6677 0.3323 0.5000
0.3290 0.6710 0.5000
0.3682 0.3693 0.2968
0.3699 0.0189 0.6895
0.6307 0.6318 0.7032
0.6476 0.0438 0.2655
0.9562 0.3524 0.7345
0.9811 0.6301 0.3105
```

=====

Structure and calculated powder X-ray diffraction pattern of NaInAgF6 (the PBE geometry in Alexandria; a wavelength of 1.5418 Å).

Principal peaks in the range 2θ from 10° to 90°, in order of falling intensity:
Position (°2θ), Rel. int.
24.70, 100
30.99, 72
47.60, 72
19.36, 45
60.57, 24
50.65, 19

Crystal structure
```
NaInAgF6
1.0
5.0978 0.0000 0.0000
0.0000 5.0978 0.0000
0.0000 0.0000 10.5002
Na In Ag F
2 2 2 12
Direct
0.0000 0.0000 0.0000
0.5000 0.5000 0.5000
0.0000 0.0000 0.6647
0.5000 0.5000 0.1647
0.0000 0.0000 0.3312
0.5000 0.5000 0.8312
0.1877 0.1877 0.5103
0.1947 0.1947 0.8189
0.2090 0.2090 0.1679
0.2910 0.7090 0.6679
0.3053 0.6947 0.3189
0.3123 0.6877 0.0103
0.6877 0.3123 0.0103
0.6947 0.3053 0.3189
0.7090 0.2910 0.6679
0.7910 0.7910 0.1679
0.8053 0.8053 0.8189
0.8123 0.8123 0.5103
```

=====

Structure and calculated powder X-ray diffraction pattern of PaInAgF6 (the PBE geometry in Alexandria; a wavelength of 1.5418 Å).

Principal peaks in the range 2θ from 10° to 90°, in order of falling intensity:
Position (°2θ), Rel. int.
23.14, 100
27.76, 61
44.22, 55
46.42, 31
36.44, 30
32.56, 27

Crystal structure
```
PaInAgF6
1.0
6.4263 0.0000 0.0000
-3.2131 5.5653 0.0000
0.0000 0.0000 10.6329
Pa In Ag F
2 2 2 12
Direct
0.3333 0.6667 0.2500
0.6667 0.3333 0.7500
0.0000 0.0000 0.0000
0.0000 0.0000 0.5000
0.3333 0.6667 0.7500
0.6667 0.3333 0.2500
0.0372 0.3823 0.1376
0.0372 0.6549 0.3624
0.3451 0.3823 0.3624
0.3451 0.9628 0.1376
0.3823 0.0372 0.6376
0.3823 0.3451 0.8624
0.6177 0.6549 0.1376
0.6177 0.9628 0.3624
0.6549 0.0372 0.8624
0.6549 0.6177 0.6376
0.9628 0.3451 0.6376
0.9628 0.6177 0.8624
```

=====

Structure and calculated powder X-ray diffraction pattern of PmInAg2F8 (the PBE geometry in Alexandria; a wavelength of 1.5418 Å).

Principal peaks in the range 2θ from 10° to 90°, in order of falling intensity:
Position (°2θ), Rel. int.
27.39, 100
27.62, 95
44.99, 83
32.79, 27
55.17, 27
55.57, 25

Crystal structure
```
PmInAg2F8
1.0
3.8853 0.0000 0.0000
0.0000 5.9707 0.0000
0.0000 0.0000 7.6792
Pm In Ag F
1 1 2 8
Direct
0.0000 0.0000 0.0000
0.0000 0.0000 0.5000
0.5000 0.5000 0.2666
0.5000 0.5000 0.7334
0.0000 0.2118 0.2636
0.0000 0.2118 0.7364
0.0000 0.7882 0.2636
0.0000 0.7882 0.7364
0.5000 0.2048 0.5000
0.5000 0.2232 0.0000
0.5000 0.7768 0.0000
0.5000 0.7952 0.5000
```

=====

Structure and calculated powder X-ray diffraction pattern of RbInAgF6 (the PBE geometry in Alexandria; a wavelength of 1.5418 Å).

Principal peaks in the range 2θ from 10° to 90°, in order of falling intensity:
Position (°2θ), Rel. int.
22.56, 100
15.08, 99
23.37, 93
23.12, 90
30.59, 71
44.00, 65

Crystal structure
```
RbInAgF6
1.0
3.0454 -4.9966 0.0000
3.0454 4.9966 0.0000
-0.1679 0.0000 5.8758
Rb In Ag F
1 1 1 6
Direct
0.0000 0.0000 0.0000
0.6659 0.3341 0.5000
0.3281 0.6719 0.5000
0.3719 0.3762 0.3080
0.3732 0.0189 0.6790
0.6238 0.6281 0.6920
0.6397 0.0478 0.2769
0.9522 0.3604 0.7231
0.9811 0.6268 0.3210
```

=====

Structure and calculated powder X-ray diffraction pattern of InAgSnF6 (the PBE geometry in Alexandria; a wavelength of 1.5418 Å).

Principal peaks in the range 2θ from 10° to 90°, in order of falling intensity:
Position (°2θ), Rel. int.
24.79, 100
47.49, 50
29.92, 48
39.23, 30
50.11, 29
53.11, 21

Crystal structure
```
InAgSnF6
1.0
5.9736 0.0000 0.0000
-2.9868 5.1733 0.0000
0.0000 0.0000 9.9770
In Ag Sn F
2 2 2 12
Direct
0.3333 0.6667 0.2500
0.6667 0.3333 0.7500
0.3333 0.6667 0.7500
0.6667 0.3333 0.2500
0.0000 0.0000 0.0000
0.0000 0.0000 0.5000
0.0481 0.3618 0.1315
0.0481 0.6863 0.3685
0.3137 0.3618 0.3685
0.3137 0.9519 0.1315
0.3618 0.0481 0.6315
0.3618 0.3137 0.8685
0.6382 0.6863 0.1315
0.6382 0.9519 0.3685
0.6863 0.0481 0.8685
0.6863 0.6382 0.6315
0.9519 0.3137 0.6315
0.9519 0.6382 0.8685
```